Computed X-ray powder pattern of Li3V3O5F3 for Cu Ka, from a structure optimized by DFT (GGA+U).
Kinematic intensities with the Lorentz-polarization factor, no thermal factor.

Principal peaks in the range 5 to 70 degrees two-theta, in order of rising 2θ:
- 2θ 17.73, d = 5.001 Å, rel. 13, (0 0 1)
- 2θ 18.14, d = 4.890 Å, rel. 100, (0 1 1)
- 2θ 18.35, d = 4.836 Å, rel. 11, (1 1 0)
- 2θ 21.12, d = 4.206 Å, rel. 10, (1 0 -1)
- 2θ 34.06, d = 2.632 Å, rel. 13, (0 1 -1)
- 2θ 35.24, d = 2.547 Å, rel. 14, (2 1 1)
- 2θ 35.55, d = 2.525 Å, rel. 15, (2 1 -1)
- 2θ 41.63, d = 2.170 Å, rel. 26, (0 2 0)
- 2θ 43.01, d = 2.103 Å, rel. 49, (2 0 -2)
- 2θ 61.66, d = 1.504 Å, rel. 14, (-2 2 2)

Atomic structure:
a = 5.8842 Å, b = 5.9628 Å, c = 6.0164 Å
α = 60.82°, β = 89.90°, γ = 61.10°
Space group P1 (No. 1)
Unique sites:
Li (0.0000, 0.0000, 0.0000)
Li (0.2644, 0.4479, 0.7923)
Li (0.6434, 0.7186, 0.4014)
V (0.1380, 0.2200, 0.4003)
V (0.6490, 0.7105, 0.8946)
V (0.6570, 0.1811, 0.4215)
O (0.4054, 0.2163, 0.1960)
O (0.4080, 0.1707, 0.6562)
O (0.8595, 0.7445, 0.6461)
O (0.8600, 0.2442, 0.5959)
O (0.8718, 0.2528, 0.1565)
F (0.3855, 0.7350, 0.6403)
F (0.4085, 0.7100, 0.1478)
F (0.8892, 0.7044, 0.1545)